No. 1
For AgBiS2, a structure optimized by DFT (PBE) gives the computed X-ray diffraction stick pattern in this record (Cu Kα (λ = 1.5418 Å)).
Kinematic intensities with the Lorentz-polarization factor, no thermal factor.

The 8 most intense peaks (10° ≤ 2θ ≤ 80°), by angle:
two_theta, d_spacing, intensity
17.55, 5.053, 189
27.25, 3.273, 1000
31.00, 2.885, 431
31.84, 2.811, 803
45.03, 2.013, 605
45.65, 1.987, 291
53.97, 1.699, 352
56.21, 1.637, 310

Cell and atoms:
```
data_AgBiS2
_space_group_name_H-M_alt 'I 41/a m d'
_space_group_IT_number 141
_cell_length_a 5.621
_cell_length_b 5.621
_cell_length_c 11.538
_cell_angle_alpha 90.00
_cell_angle_beta 90.00
_cell_angle_gamma 90.00
loop_
_space_group_symop_operation_xyz
'x,y,z'
'-x,-y,-z'
'-y+1/4,x+3/4,z+1/4'
'y+1/4,-x+3/4,-z+1/4'
'-x+1/2,-y,z+1/2'
'x+1/2,y,-z+1/2'
'y+1/4,-x+1/4,z+3/4'
'-y+1/4,x+1/4,-z+3/4'
'x,-y,-z'
'-x,y,z'
'-y+1/4,-x+1/4,-z+3/4'
'y+1/4,x+1/4,z+3/4'
'-x+1/2,y,-z+1/2'
'x+1/2,-y,z+1/2'
'y+1/4,x+3/4,-z+1/4'
'-y+1/4,-x+3/4,z+1/4'
'x+1/2,y+1/2,z+1/2'
'-x+1/2,-y+1/2,-z+1/2'
'-y+3/4,x+1/4,z+3/4'
'y+3/4,-x+1/4,-z+3/4'
'-x,-y+1/2,z'
'x,y+1/2,-z'
'y+3/4,-x+3/4,z+1/4'
'-y+3/4,x+3/4,-z+1/4'
'x+1/2,-y+1/2,-z+1/2'
'-x+1/2,y+1/2,z+1/2'
'-y+3/4,-x+3/4,-z+1/4'
'y+3/4,x+3/4,z+1/4'
'-x,y+1/2,-z'
'x,-y+1/2,z'
'y+3/4,x+1/4,-z+3/4'
'-y+3/4,-x+1/4,z+3/4'
loop_
_atom_site_label
_atom_site_type_symbol
_atom_site_fract_x
_atom_site_fract_y
_atom_site_fract_z
Ag1 Ag 0.000 0.250 0.375
Bi1 Bi 0.000 0.250 0.875
S1 S 0.000 0.250 0.122
```

No. 2
For AgBiS2, a structure optimized by DFT (PBE) gives the computed X-ray diffraction stick pattern in this record (Cu Kα (λ = 1.5418 Å)).
Kinematic intensities with the Lorentz-polarization factor, no thermal factor.

The 8 most intense peaks (10° ≤ 2θ ≤ 80°), by angle:
two_theta, d_spacing, intensity
27.09, 3.291, 622
28.01, 3.185, 191
31.65, 2.827, 1000
44.77, 2.024, 378
45.97, 1.974, 347
53.65, 1.708, 202
55.87, 1.646, 194
76.04, 1.252, 169

Cell and atoms:
```
data_AgBiS2
_space_group_name_H-M_alt 'P -3 m 1'
_space_group_IT_number 164
_space_group_name_Hall '-P 3 2"'
_cell_length_a 4.0484
_cell_length_b 4.0484
_cell_length_c 19.1103
_cell_angle_alpha 90.00
_cell_angle_beta 90.00
_cell_angle_gamma 120.00
loop_
_atom_site_label
_atom_site_type_symbol
_atom_site_fract_x
_atom_site_fract_y
_atom_site_fract_z
Ag1 Ag 0.0000 0.0000 0.0000
Ag2 Ag 0.3333 0.6667 0.6687
Bi1 Bi 0.0000 0.0000 0.5000
Bi2 Bi 0.3333 0.6667 0.1651
S1 S 0.0000 0.0000 0.2508
S2 S 0.3333 0.6667 0.4135
S3 S 0.3333 0.6667 0.9207
```

No. 3
For AgBiS2, a structure optimized by DFT (PBE) gives the computed X-ray diffraction stick pattern in this record (Cu Kα (λ = 1.5418 Å)).
Kinematic intensities with the Lorentz-polarization factor, no thermal factor.

The 8 most intense peaks (10° ≤ 2θ ≤ 80°), by angle:
two_theta, d_spacing, intensity
27.32, 3.265, 1000
31.35, 2.853, 843
32.22, 2.778, 392
44.93, 2.017, 307
45.57, 1.990, 588
53.38, 1.716, 337
54.51, 1.683, 158
56.36, 1.632, 310

Cell and atoms:
```
data_AgBiS2
_space_group_name_H-M_alt 'P 4/m m m'
_space_group_IT_number 123
_space_group_name_Hall '-P 4 2'
_cell_length_a 4.035
_cell_length_b 4.035
_cell_length_c 5.557
_cell_angle_alpha 90.00
_cell_angle_beta 90.00
_cell_angle_gamma 90.00
loop_
_atom_site_label
_atom_site_type_symbol
_atom_site_fract_x
_atom_site_fract_y
_atom_site_fract_z
Ag1 Ag 0.000 0.000 0.000
Bi1 Bi 0.500 0.500 0.500
S1 S 0.000 0.000 0.500
S2 S 0.500 0.500 0.000
```